[1]
This entry pairs a crystal structure of BaO4 with its theoretical powder XRD pattern. Radiation: Cu Kα X-rays. Structure: a cell relaxed with PBE.
Neutral-atom scattering factors, no anomalous dispersion.

Crystal structure
Unit cell a=5.254 b=8.527 c=6.824 alpha=90.00 beta=91.87 gamma=90.00
Element x y z (fractional)
1 Ba 0.250 0.098 0.250
2 Ba 0.250 0.402 0.750
3 Ba 0.750 0.598 0.250
4 Ba 0.750 0.902 0.750
5 O 0.152 0.709 0.964
6 O 0.152 0.791 0.464
7 O 0.182 0.082 0.834
8 O 0.182 0.418 0.334
9 O 0.324 0.084 0.667
10 O 0.324 0.416 0.167
11 O 0.344 0.710 0.539
12 O 0.344 0.790 0.039
13 O 0.656 0.210 0.961
14 O 0.656 0.290 0.461
15 O 0.676 0.584 0.833
16 O 0.676 0.916 0.333
17 O 0.818 0.582 0.666
18 O 0.818 0.918 0.166
19 O 0.848 0.209 0.536
20 O 0.848 0.291 0.036

Main lines, in order of rising 2θ (15 to 90 degrees two-theta):
Position (°2θ), Rel. int.
19.86, 57.4
23.49, 72.3
24.10, 62.5
24.62, 74.5
26.13, 51.3
32.58, 50.7
33.49, 43.3
34.15, 50.1
35.93, 100.0
42.19, 35.7
44.20, 49.2
45.21, 42.8

=====

[2]
This entry pairs a crystal structure of Ba4O3 with its theoretical powder XRD pattern. Radiation: Cu Kα X-rays. Structure: a cell relaxed with PBE.
Neutral-atom scattering factors, no anomalous dispersion.

Crystal structure
Unit cell a=6.131 b=6.131 c=6.131 alpha=90.00 beta=90.00 gamma=90.00
Element x y z (fractional)
1 Ba 0.233 0.233 0.233
2 Ba 0.233 0.767 0.767
3 Ba 0.767 0.233 0.767
4 Ba 0.767 0.767 0.233
5 O 0.000 0.000 0.500
6 O 0.000 0.500 0.000
7 O 0.500 0.000 0.000

Main lines, in order of rising 2θ (15 to 90 degrees two-theta):
Position (°2θ), Rel. int.
25.16, 100.0
29.13, 40.8
35.87, 5.5
41.66, 43.4
49.29, 43.1
51.64, 10.2
60.39, 6.4
66.47, 16.1
68.43, 12.3
76.04, 12.0
81.59, 11.2
85.23, 4.3

=====

[3]
This entry pairs a crystal structure of Ba2Os2O7 with its theoretical powder XRD pattern. Radiation: Cu Kα X-rays. Structure: a cell relaxed with PBE.
Neutral-atom scattering factors, no anomalous dispersion.

Crystal structure
Unit cell a=7.636 b=7.636 c=7.636 alpha=120.46 beta=92.35 gamma=116.88
Element x y z (fractional)
1 Ba 0.000 0.000 0.000
2 Ba 0.500 0.000 0.000
3 Ba 0.500 0.000 0.500
4 Ba 0.500 0.500 0.500
5 Os 0.000 0.000 0.500
6 Os 0.000 0.500 0.000
7 Os 0.000 0.500 0.500
8 Os 0.500 0.500 0.000
9 O 0.039 0.233 0.431
10 O 0.039 0.608 0.806
11 O 0.091 0.841 0.250
12 O 0.299 0.710 0.589
13 O 0.302 0.233 0.694
14 O 0.302 0.608 0.069
15 O 0.379 0.290 0.089
16 O 0.621 0.710 0.911
17 O 0.698 0.392 0.931
18 O 0.698 0.767 0.306
19 O 0.701 0.290 0.411
20 O 0.909 0.159 0.750
21 O 0.961 0.392 0.194
22 O 0.961 0.767 0.569

Main lines, in order of rising 2θ (15 to 90 degrees two-theta):
Position (°2θ), Rel. int.
27.98, 100.0
28.98, 90.6
32.55, 55.4
33.90, 24.2
45.38, 12.8
47.71, 52.0
47.99, 13.2
54.75, 33.3
56.47, 28.2
57.11, 14.8
57.84, 13.5
77.72, 18.0

=====

[4]
This entry pairs a crystal structure of BaOs3O8 with its theoretical powder XRD pattern. Radiation: Cu Kα X-rays. Structure: a cell relaxed with PBE.
Neutral-atom scattering factors, no anomalous dispersion.

Crystal structure
Unit cell a=5.542 b=5.542 c=6.469 alpha=90.00 beta=90.00 gamma=120.00
Element x y z (fractional)
1 Ba 0.000 0.000 0.000
2 Os 0.000 0.000 0.500
3 Os 0.333 0.667 0.565
4 Os 0.667 0.333 0.435
5 O 0.075 0.369 0.374
6 O 0.294 0.925 0.374
7 O 0.333 0.667 0.843
8 O 0.369 0.294 0.626
9 O 0.631 0.706 0.374
10 O 0.667 0.333 0.157
11 O 0.706 0.075 0.626
12 O 0.925 0.631 0.626

Main lines, in order of rising 2θ (15 to 90 degrees two-theta):
Position (°2θ), Rel. int.
23.08, 30.7
27.58, 33.5
32.31, 100.0
33.41, 28.9
35.24, 42.4
42.98, 63.0
47.16, 15.3
57.62, 24.4
58.32, 14.1
60.40, 16.9
65.04, 18.5
79.38, 14.9

=====

[5]
This entry pairs a crystal structure of Ba2Os3O10 with its theoretical powder XRD pattern. Radiation: Cu Kα X-rays. Structure: a cell relaxed with PBE.
Neutral-atom scattering factors, no anomalous dispersion.

Crystal structure
Unit cell a=9.799 b=9.799 c=7.977 alpha=111.71 beta=111.71 gamma=35.05
Element x y z (fractional)
1 Ba 0.111 0.111 0.226
2 Ba 0.211 0.211 0.806
3 Ba 0.789 0.789 0.194
4 Ba 0.889 0.889 0.774
5 Os 0.268 0.732 0.500
6 Os 0.319 0.319 0.487
7 Os 0.418 0.418 0.021
8 Os 0.582 0.582 0.979
9 Os 0.681 0.681 0.513
10 Os 0.732 0.268 0.500
11 O 0.000 0.500 0.500
12 O 0.021 0.021 0.661
13 O 0.118 0.599 0.033
14 O 0.161 0.623 0.486
15 O 0.269 0.269 0.237
16 O 0.293 0.707 0.000
17 O 0.366 0.366 0.759
18 O 0.377 0.839 0.514
19 O 0.401 0.882 0.967
20 O 0.471 0.471 0.294
21 O 0.500 0.000 0.500
22 O 0.529 0.529 0.706
23 O 0.599 0.118 0.033
24 O 0.623 0.161 0.486
25 O 0.634 0.634 0.241
26 O 0.707 0.293 0.000
27 O 0.731 0.731 0.763
28 O 0.839 0.377 0.514
29 O 0.882 0.401 0.967
30 O 0.979 0.979 0.339

Main lines, in order of rising 2θ (15 to 90 degrees two-theta):
Position (°2θ), Rel. int.
15.87, 24.1
24.21, 27.1
27.32, 53.1
27.65, 100.0
28.34, 24.0
28.66, 77.4
30.29, 20.6
32.85, 26.4
36.19, 30.5
42.19, 27.9
52.21, 24.6
52.67, 34.2

=====

[6]
This entry pairs a crystal structure of BaOsO4 with its theoretical powder XRD pattern. Radiation: Cu Kα X-rays. Structure: a cell relaxed with PBE.
Neutral-atom scattering factors, no anomalous dispersion.

Crystal structure
Unit cell a=6.064 b=6.064 c=6.415 alpha=101.88 beta=101.88 gamma=110.62
Element x y z (fractional)
1 Ba 0.158 0.842 0.750
2 Ba 0.842 0.158 0.250
3 Os 0.498 0.502 0.250
4 Os 0.502 0.498 0.750
5 O 0.191 0.262 0.648
6 O 0.262 0.191 0.148
7 O 0.357 0.613 0.474
8 O 0.387 0.643 0.026
9 O 0.613 0.357 0.974
10 O 0.643 0.387 0.526
11 O 0.738 0.809 0.852
12 O 0.809 0.738 0.352

Main lines, in order of rising 2θ (15 to 90 degrees two-theta):
Position (°2θ), Rel. int.
16.39, 94.9
17.79, 59.4
18.48, 49.5
23.23, 34.0
27.72, 77.7
29.88, 54.8
30.26, 100.0
32.69, 35.1
39.15, 87.3
46.68, 36.3
50.60, 57.4
68.47, 21.2

=====

[7]
This entry pairs a crystal structure of BaOs3O12 with its theoretical powder XRD pattern. Radiation: Cu Kα X-rays. Structure: a cell relaxed with PBE.
Neutral-atom scattering factors, no anomalous dispersion.

Crystal structure
Unit cell a=11.582 b=11.582 c=11.582 alpha=47.52 beta=47.52 gamma=47.52
Element x y z (fractional)
1 Ba 0.000 0.000 0.000
2 Ba 0.500 0.500 0.500
3 Os 0.081 0.385 0.716
4 Os 0.216 0.886 0.581
5 Os 0.385 0.716 0.081
6 Os 0.581 0.216 0.885
7 Os 0.716 0.081 0.386
8 Os 0.885 0.581 0.216
9 O 0.086 0.456 0.112
10 O 0.112 0.086 0.456
11 O 0.145 0.234 0.663
12 O 0.163 0.734 0.645
13 O 0.167 0.884 0.762
14 O 0.234 0.663 0.145
15 O 0.262 0.384 0.667
16 O 0.312 0.938 0.959
17 O 0.384 0.667 0.262
18 O 0.438 0.812 0.459
19 O 0.456 0.112 0.086
20 O 0.459 0.438 0.812
21 O 0.586 0.612 0.956
22 O 0.612 0.956 0.586
23 O 0.645 0.163 0.734
24 O 0.663 0.145 0.234
25 O 0.667 0.262 0.384
26 O 0.734 0.645 0.163
27 O 0.762 0.167 0.884
28 O 0.812 0.459 0.438
29 O 0.884 0.762 0.167
30 O 0.938 0.959 0.312
31 O 0.956 0.586 0.612
32 O 0.959 0.312 0.938

Main lines, in order of rising 2θ (15 to 90 degrees two-theta):
Position (°2θ), Rel. int.
17.30, 31.8
20.91, 100.0
25.82, 32.8
32.47, 26.3
33.25, 22.6
37.72, 15.8
39.61, 14.1
47.16, 10.5
48.49, 9.3
49.06, 11.3
52.65, 12.2
58.92, 10.5

=====

[8]
This entry pairs a crystal structure of Ba6Os3O14 with its theoretical powder XRD pattern. Radiation: Cu Kα X-rays. Structure: a cell relaxed with PBE.
Neutral-atom scattering factors, no anomalous dispersion.

Crystal structure
Unit cell a=9.534 b=9.534 c=5.676 alpha=90.00 beta=90.00 gamma=120.00
Element x y z (fractional)
1 Ba 0.108 0.774 0.000
2 Ba 0.226 0.335 0.000
3 Ba 0.443 0.032 0.529
4 Ba 0.589 0.557 0.529
5 Ba 0.665 0.892 0.000
6 Ba 0.968 0.411 0.529
7 Os 0.000 0.000 0.428
8 Os 0.333 0.667 0.357
9 Os 0.667 0.333 0.977
10 O 0.000 0.000 0.746
11 O 0.135 0.534 0.151
12 O 0.196 0.729 0.552
13 O 0.199 0.068 0.291
14 O 0.271 0.467 0.552
15 O 0.400 0.865 0.151
16 O 0.466 0.600 0.151
17 O 0.473 0.285 0.830
18 O 0.533 0.804 0.552
19 O 0.667 0.333 0.298
20 O 0.715 0.188 0.830
21 O 0.812 0.527 0.830
22 O 0.869 0.801 0.291
23 O 0.932 0.131 0.291

Main lines, in order of rising 2θ (15 to 90 degrees two-theta):
Position (°2θ), Rel. int.
18.61, 17.9
18.97, 18.1
24.38, 39.3
26.70, 100.0
31.52, 14.6
32.53, 15.0
32.75, 17.0
37.74, 20.2
38.49, 14.5
39.35, 15.2
50.82, 13.2
53.30, 20.3